Theoretical powder diffraction line list of LaTb2O3 for Cu Kα X-rays, from the PBE geometry in OQMD.
Neutral-atom scattering factors, no anomalous dispersion.

The 10 most intense peaks (5° ≤ 2θ ≤ 70°), sorted by position:
2theta	I (rel.)	(hkl)
31.22	33	0 0 3
31.49	96	1 0 1
36.44	100	0 1 2
52.31	34	1 0 4
52.67	34	1 1 0
62.19	16	0 1 5
62.51	29	1 1 3
62.67	14	0 2 1
65.12	5	0 0 6
65.74	17	2 0 2

Crystal structure
```
data_LaTb2O3
_chemical_formula_sum 'La1 Tb2 O3'
_cell_length_a 3.4756
_cell_length_b 3.4756
_cell_length_c 8.5944
_cell_angle_alpha 90.00
_cell_angle_beta 90.00
_cell_angle_gamma 120.00
_space_group_name_H-M_alt 'P -3 m 1'
_space_group_IT_number 164
_space_group_name_Hall '-P 3 2"'
loop_
_atom_site_label
_atom_site_type_symbol
_atom_site_fract_x
_atom_site_fract_y
_atom_site_fract_z
La1 La 0.0000 0.0000 0.0000
Tb1 Tb 0.3333 0.6667 0.6637
O1 O 0.0000 0.0000 0.5000
O2 O 0.3333 0.6667 0.1998
```